No. 1
# ZnS
Theoretical powder XRD pattern, Cu Kα. Input: a PBE-relaxed structure.
Intensities are scaled so that the largest is 100.

Cell lengths 3.8529, 3.8529, 75.5804 Å; angles 90.00, 90.00, 120.00 degrees
Sites, in units of the cell vectors:
Zn (0.0000, 0.0000, 0.0000)
Zn (0.0000, 0.0000, 0.0833)
Zn (0.0000, 0.0000, 0.1667)
Zn (0.0000, 0.0000, 0.2917)
Zn (0.0000, 0.0000, 0.4167)
Zn (0.0000, 0.0000, 0.5417)
Zn (0.0000, 0.0000, 0.6667)
Zn (0.0000, 0.0000, 0.7917)
Zn (0.0000, 0.0000, 0.9167)
Zn (0.3333, 0.6667, 0.0417)
Zn (0.3333, 0.6667, 0.2083)
Zn (0.3333, 0.6667, 0.3333)
Zn (0.3333, 0.6667, 0.5000)
Zn (0.3333, 0.6667, 0.5833)
Zn (0.3333, 0.6667, 0.7500)
Zn (0.3333, 0.6667, 0.8750)
Zn (0.6667, 0.3333, 0.1250)
Zn (0.6667, 0.3333, 0.2500)
Zn (0.6667, 0.3333, 0.3750)
Zn (0.6667, 0.3333, 0.4583)
Zn (0.6667, 0.3333, 0.6250)
Zn (0.6667, 0.3333, 0.7083)
Zn (0.6667, 0.3333, 0.8333)
Zn (0.6667, 0.3333, 0.9583)
S (0.0000, 0.0000, 0.0312)
S (0.0000, 0.0000, 0.1146)
S (0.0000, 0.0000, 0.1979)
S (0.0000, 0.0000, 0.3229)
S (0.0000, 0.0000, 0.4479)
S (0.0000, 0.0000, 0.5729)
S (0.0000, 0.0000, 0.6979)
S (0.0000, 0.0000, 0.8229)
S (0.0000, 0.0000, 0.9479)
S (0.3333, 0.6667, 0.0729)
S (0.3333, 0.6667, 0.2396)
S (0.3333, 0.6667, 0.3646)
S (0.3333, 0.6667, 0.5312)
S (0.3333, 0.6667, 0.6146)
S (0.3333, 0.6667, 0.7812)
S (0.3333, 0.6667, 0.9062)
S (0.6667, 0.3333, 0.1563)
S (0.6667, 0.3333, 0.2812)
S (0.6667, 0.3333, 0.4062)
S (0.6667, 0.3333, 0.4896)
S (0.6667, 0.3333, 0.6562)
S (0.6667, 0.3333, 0.7396)
S (0.6667, 0.3333, 0.8646)
S (0.6667, 0.3333, 0.9896)

Peak list (10 most intense, 2θ = 15–90°, by angle)
two_theta, I/Imax
27.14, 11.6
27.66, 16.2
27.99, 30.5
28.35, 100.0
28.79, 12.6
29.77, 12.9
46.11, 11.1
47.17, 83.9
55.95, 56.2
87.76, 10.2

***

No. 2
# ZnS
Theoretical powder XRD pattern, Cu Kα. Input: a PBE-relaxed structure.
Intensities are scaled so that the largest is 100.

Cell lengths 25.2836, 25.2836, 25.2836 Å; angles 8.74, 8.74, 8.74 degrees
Sites, in units of the cell vectors:
Zn (0.0000, 0.0000, 0.0000)
Zn (0.0833, 0.0833, 0.0833)
Zn (0.1667, 0.1667, 0.1667)
Zn (0.2500, 0.2500, 0.2500)
Zn (0.3750, 0.3750, 0.3750)
Zn (0.4583, 0.4583, 0.4583)
Zn (0.5417, 0.5417, 0.5417)
Zn (0.6250, 0.6250, 0.6250)
S (0.0521, 0.0521, 0.0521)
S (0.1354, 0.1354, 0.1354)
S (0.2188, 0.2188, 0.2188)
S (0.3438, 0.3438, 0.3438)
S (0.4271, 0.4271, 0.4271)
S (0.5104, 0.5104, 0.5104)
S (0.5938, 0.5938, 0.5938)
S (0.9688, 0.9688, 0.9688)

Peak list (10 most intense, 2θ = 15–90°, by angle)
two_theta, I/Imax
26.77, 92.2
27.36, 15.6
28.35, 91.5
29.76, 69.6
30.89, 39.7
47.16, 100.0
50.34, 42.6
52.54, 32.5
55.94, 66.9
87.72, 17.6

***

No. 3
# ZnS
Theoretical powder XRD pattern, Cu Kα. Input: a PBE-relaxed structure.
Intensities are scaled so that the largest is 100.

Cell lengths 56.5485, 56.5485, 56.5485 Å; angles 3.93, 3.93, 3.93 degrees
Sites, in units of the cell vectors:
Zn (0.0000, 0.0000, 0.0000)
Zn (0.0370, 0.0370, 0.0370)
Zn (0.0741, 0.0741, 0.0741)
Zn (0.1481, 0.1481, 0.1481)
Zn (0.2037, 0.2037, 0.2037)
Zn (0.2593, 0.2593, 0.2593)
Zn (0.3148, 0.3148, 0.3148)
Zn (0.3889, 0.3889, 0.3889)
Zn (0.4444, 0.4444, 0.4444)
Zn (0.5000, 0.5000, 0.5000)
Zn (0.5556, 0.5556, 0.5556)
Zn (0.6296, 0.6296, 0.6296)
Zn (0.6852, 0.6852, 0.6852)
Zn (0.7593, 0.7593, 0.7593)
Zn (0.7963, 0.7963, 0.7963)
Zn (0.8519, 0.8519, 0.8519)
Zn (0.9074, 0.9074, 0.9074)
Zn (0.9444, 0.9444, 0.9444)
S (0.0138, 0.0138, 0.0138)
S (0.0509, 0.0509, 0.0509)
S (0.0879, 0.0879, 0.0879)
S (0.1620, 0.1620, 0.1620)
S (0.2176, 0.2176, 0.2176)
S (0.2731, 0.2731, 0.2731)
S (0.3287, 0.3287, 0.3287)
S (0.4028, 0.4028, 0.4028)
S (0.4583, 0.4583, 0.4583)
S (0.5139, 0.5139, 0.5139)
S (0.5694, 0.5694, 0.5694)
S (0.6435, 0.6435, 0.6435)
S (0.6991, 0.6991, 0.6991)
S (0.7731, 0.7731, 0.7731)
S (0.8102, 0.8102, 0.8102)
S (0.8657, 0.8657, 0.8657)
S (0.9213, 0.9213, 0.9213)
S (0.9583, 0.9583, 0.9583)

Peak list (10 most intense, 2θ = 15–90°, by angle)
two_theta, I/Imax
27.44, 19.1
27.88, 41.3
28.05, 63.2
28.43, 83.7
28.61, 32.3
29.02, 20.2
46.69, 24.1
46.89, 100.0
55.75, 66.8
87.11, 15.7

***

No. 4
# ZnS
Theoretical powder XRD pattern, Cu Kα. Input: a PBE-relaxed structure.
Intensities are scaled so that the largest is 100.

Cell lengths 3.8531, 3.8531, 88.1297 Å; angles 90.00, 90.00, 120.00 degrees
Sites, in units of the cell vectors:
Zn (0.0000, 0.0000, 0.0000)
Zn (0.0000, 0.0000, 0.0714)
Zn (0.0000, 0.0000, 0.1786)
Zn (0.0000, 0.0000, 0.2500)
Zn (0.0000, 0.0000, 0.3571)
Zn (0.0000, 0.0000, 0.4643)
Zn (0.0000, 0.0000, 0.5714)
Zn (0.0000, 0.0000, 0.6786)
Zn (0.0000, 0.0000, 0.7857)
Zn (0.0000, 0.0000, 0.8929)
Zn (0.3333, 0.6667, 0.0357)
Zn (0.3333, 0.6667, 0.1429)
Zn (0.3333, 0.6667, 0.2857)
Zn (0.3333, 0.6667, 0.3929)
Zn (0.3333, 0.6667, 0.5000)
Zn (0.3333, 0.6667, 0.6071)
Zn (0.3333, 0.6667, 0.7143)
Zn (0.3333, 0.6667, 0.8214)
Zn (0.3333, 0.6667, 0.9286)
Zn (0.6667, 0.3333, 0.1071)
Zn (0.6667, 0.3333, 0.2143)
Zn (0.6667, 0.3333, 0.3214)
Zn (0.6667, 0.3333, 0.4286)
Zn (0.6667, 0.3333, 0.5357)
Zn (0.6667, 0.3333, 0.6429)
Zn (0.6667, 0.3333, 0.7500)
Zn (0.6667, 0.3333, 0.8571)
Zn (0.6667, 0.3333, 0.9643)
S (0.0000, 0.0000, 0.0268)
S (0.0000, 0.0000, 0.0982)
S (0.0000, 0.0000, 0.2053)
S (0.0000, 0.0000, 0.2768)
S (0.0000, 0.0000, 0.3839)
S (0.0000, 0.0000, 0.4911)
S (0.0000, 0.0000, 0.5982)
S (0.0000, 0.0000, 0.7054)
S (0.0000, 0.0000, 0.8125)
S (0.0000, 0.0000, 0.9196)
S (0.3333, 0.6667, 0.0625)
S (0.3333, 0.6667, 0.1696)
S (0.3333, 0.6667, 0.3125)
S (0.3333, 0.6667, 0.4196)
S (0.3333, 0.6667, 0.5268)
S (0.3333, 0.6667, 0.6339)
S (0.3333, 0.6667, 0.7411)
S (0.3333, 0.6667, 0.8482)
S (0.3333, 0.6667, 0.9554)
S (0.6667, 0.3333, 0.1339)
S (0.6667, 0.3333, 0.2411)
S (0.6667, 0.3333, 0.3482)
S (0.6667, 0.3333, 0.4554)
S (0.6667, 0.3333, 0.5625)
S (0.6667, 0.3333, 0.6696)
S (0.6667, 0.3333, 0.7768)
S (0.6667, 0.3333, 0.8839)
S (0.6667, 0.3333, 0.9911)

Peak list (10 most intense, 2θ = 15–90°, by angle)
two_theta, I/Imax
28.25, 100.0
28.36, 59.3
28.60, 44.3
33.07, 14.9
46.86, 39.3
47.18, 72.3
47.76, 19.3
55.95, 61.9
56.28, 13.5
88.16, 12.2